CaNpTe2: computed powder diffraction line list (Cu Kα, 1.54184 Å), based on DFT lattice parameters and positions (GGA-PBE).
No peak broadening, texture or thermal motion is included.

Main lines, by angle (15 to 90 degrees two-theta):
| Position (°2θ) | Rel. int. | h k l |
| --- | --- | --- |
| 24.32 | 41 | 1 0 1 |
| 25.18 | 36 | 0 1 2 |
| 28.38 | 53 | 1 0 4 |
| 30.58 | 100 | 0 1 5 |
| 35.86 | 60 | 1 0 7 |
| 38.83 | 21 | 0 1 8 |
| 42.26 | 61 | 1 1 0 |
| 53.06 | 21 | 2 0 5 |
| 64.04 | 35 | 1 1 12 |
| 70.06 | 18 | 1 2 5 |

Cell and atoms:
```
data_CaNpTe2
_chemical_formula_sum 'Ca3 Np3 Te6'
_cell_length_a 4.2772
_cell_length_b 4.2772
_cell_length_c 23.7939
_cell_angle_alpha 90.00
_cell_angle_beta 90.00
_cell_angle_gamma 120.00
_space_group_name_H-M_alt 'R 3 m'
_space_group_IT_number 160
_space_group_name_Hall 'R 3 -2"'
loop_
_atom_site_label
_atom_site_type_symbol
_atom_site_fract_x
_atom_site_fract_y
_atom_site_fract_z
Ca1 Ca 0.0000 0.0000 0.0000
Np1 Np 0.0000 0.0000 0.1690
Te1 Te 0.0000 0.0000 0.4170
Te2 Te 0.0000 0.0000 0.5862
```


Ti3H2O7: computed powder diffraction line list (Cu Kα, 1.54184 Å), based on DFT lattice parameters and positions (GGA-PBE).
No peak broadening, texture or thermal motion is included.

Main lines, by angle (15 to 90 degrees two-theta):
| Position (°2θ) | Rel. int. | h k l |
| --- | --- | --- |
| 16.14 | 66 | 2 0 1 |
| 24.05 | 100 | 1 1 0 |
| 28.73 | 35 | 3 1 0 |
| 29.59 | 36 | 0 0 3 |
| 31.55 | 36 | 3 1 1 |
| 34.98 | 48 | 6 0 -2 |
| 43.72 | 37 | 2 0 4 |
| 47.87 | 39 | 0 2 0 |
| 52.82 | 22 | 3 1 4 |
| 56.41 | 21 | 9 1 -2 |

Cell and atoms:
```
data_Ti3H2O7
_chemical_formula_sum 'Ti12 H8 O28'
_cell_length_a 16.552
_cell_length_b 3.800
_cell_length_c 9.261
_cell_angle_alpha 90.00
_cell_angle_beta 102.07
_cell_angle_gamma 90.00
_space_group_name_H-M_alt 'C 1 m 1'
_space_group_IT_number 8
_space_group_name_Hall 'C -2y'
loop_
_atom_site_label
_atom_site_type_symbol
_atom_site_fract_x
_atom_site_fract_y
_atom_site_fract_z
Ti1 Ti 0.000 0.000 0.000
Ti2 Ti 0.047 0.000 0.694
Ti3 Ti 0.096 0.500 0.263
Ti4 Ti 0.152 0.500 0.946
Ti5 Ti 0.218 0.500 0.657
Ti6 Ti 0.446 0.500 0.298
H1 H 0.155 0.000 0.523
H2 H 0.252 0.500 0.219
H3 H 0.332 0.500 0.433
H4 H 0.375 0.500 0.690
O1 O 0.037 0.500 0.020
O2 O 0.072 0.000 0.224
O3 O 0.084 0.500 0.727
O4 O 0.123 0.000 0.924
O5 O 0.157 0.500 0.444
O6 O 0.177 0.000 0.631
O7 O 0.193 0.500 0.156
O8 O 0.242 0.500 0.859
O9 O 0.319 0.500 0.616
O10 O 0.340 0.500 0.329
O11 O 0.414 0.500 0.084
O12 O 0.461 0.500 0.793
O13 O 0.481 0.000 0.296
O14 O 0.499 0.500 0.507
```


CePrPuSn: computed powder diffraction line list (Cu Kα, 1.54184 Å), based on DFT lattice parameters and positions (GGA-PBE).
No peak broadening, texture or thermal motion is included.

Main lines, by angle (15 to 90 degrees two-theta):
| Position (°2θ) | Rel. int. | h k l |
| --- | --- | --- |
| 20.13 | 5 | 1 1 1 |
| 23.29 | 4 | 2 0 0 |
| 33.17 | 100 | 2 2 0 |
| 39.11 | 3 | 3 1 1 |
| 47.61 | 18 | 4 0 0 |
| 53.65 | 2 | 4 2 0 |
| 59.26 | 39 | 4 2 2 |
| 69.62 | 12 | 4 4 0 |
| 79.32 | 17 | 6 2 0 |
| 88.72 | 4 | 4 4 4 |

Cell and atoms:
```
data_CePrPuSn
_chemical_formula_sum 'Ce4 Pr4 Pu4 Sn4'
_cell_length_a 7.640
_cell_length_b 7.640
_cell_length_c 7.640
_cell_angle_alpha 90.00
_cell_angle_beta 90.00
_cell_angle_gamma 90.00
_space_group_name_H-M_alt 'F -4 3 m'
_space_group_IT_number 216
_space_group_name_Hall 'F -4 2 3'
loop_
_atom_site_label
_atom_site_type_symbol
_atom_site_fract_x
_atom_site_fract_y
_atom_site_fract_z
Ce1 Ce 0.000 0.000 0.000
Pr1 Pr 0.250 0.250 0.750
Pu1 Pu 0.250 0.250 0.250
Sn1 Sn 0.000 0.000 0.500
```